Starting from a DFT-relaxed cell (GGA+U, Alexandria), the X-ray diffraction stick pattern of Li2WO4 was computed for a wavelength of 1.5418 Å.
No peak broadening, texture or thermal motion is included.

The 10 most intense peaks (2θ from 10° to 90°), low angle first:
- 2θ = 17.30°, rel. 65
- 2θ = 17.74°, rel. 100
- 2θ = 24.28°, rel. 71
- 2θ = 24.63°, rel. 74
- 2θ = 34.71°, rel. 39
- 2θ = 35.02°, rel. 35
- 2θ = 35.77°, rel. 22
- 2θ = 39.00°, rel. 34
- 2θ = 39.70°, rel. 20
- 2θ = 46.50°, rel. 25

```
Li2WO4
1.0
5.002 -2.986 0.000
5.002 2.986 0.000
-0.142 0.000 5.167
Li W O
4 2 8
Direct
0.043 0.343 0.272
0.343 0.043 0.772
0.657 0.957 0.228
0.957 0.657 0.728
0.337 0.663 0.250
0.663 0.337 0.750
0.017 0.723 0.364
0.277 0.983 0.136
0.293 0.502 0.928
0.498 0.707 0.572
0.502 0.293 0.428
0.707 0.498 0.072
0.723 0.017 0.864
0.983 0.277 0.636
```